# 1
Diffraction record for LaPmB2N4. The X-ray diffraction stick pattern is theoretical, not measured: it uses a structure optimized by DFT (PBE) and Cu Ka.

```
data_LaPmB2N4
_cell_length_a 5.663
_cell_length_b 5.663
_cell_length_c 6.525
_cell_angle_alpha 90.00
_cell_angle_beta 90.00
_cell_angle_gamma 90.00
_space_group_name_H-M_alt 'I 4 2 2'
_space_group_IT_number 97
_space_group_name_Hall 'I 4 2'
loop_
_atom_site_label
_atom_site_type_symbol
_atom_site_fract_x
_atom_site_fract_y
_atom_site_fract_z
La1 La 0.000 0.000 0.000
Pm1 Pm 0.000 0.000 0.500
B1 B 0.000 0.500 0.250
N1 N 0.168 0.332 0.750
```

Peak list (12 most intense, 5° ≤ 2θ ≤ 70°, sorted by position)
2θ 22.20, rel. 100, hkl 1 1 0
2θ 27.34, rel. 21, hkl 0 0 2
2θ 31.60, rel. 49, hkl 2 0 0
2θ 35.49, rel. 95, hkl 1 1 2
2θ 42.26, rel. 52, hkl 2 0 2
2θ 45.29, rel. 24, hkl 2 2 0
2θ 50.99, rel. 29, hkl 3 1 0
2θ 53.71, rel. 20, hkl 2 2 2
2θ 56.41, rel. 7, hkl 0 0 4
2θ 58.82, rel. 34, hkl 3 1 2
2θ 61.37, rel. 13, hkl 1 1 4
2θ 66.11, rel. 12, hkl 2 0 4

# 2
Diffraction record for LaPmBN3. The X-ray diffraction stick pattern is theoretical, not measured: it uses a structure optimized by DFT (PBE) and Cu Ka.

```
data_LaPmBN3
_cell_length_a 5.6854
_cell_length_b 5.6854
_cell_length_c 6.3442
_cell_angle_alpha 90.00
_cell_angle_beta 90.00
_cell_angle_gamma 120.00
_space_group_name_H-M_alt 'P 63/m m c'
_space_group_IT_number 194
_space_group_name_Hall '-P 6c 2c'
loop_
_atom_site_label
_atom_site_type_symbol
_atom_site_fract_x
_atom_site_fract_y
_atom_site_fract_z
La1 La 0.3333 0.6667 0.2500
Pm1 Pm 0.0000 0.0000 0.0000
B1 B 0.3333 0.6667 0.7500
N1 N 0.1850 0.3699 0.7500
```

Peak list (12 most intense, 5° ≤ 2θ ≤ 70°, sorted by position)
2θ 18.02, rel. 28, hkl 1 0 0
2θ 22.86, rel. 49, hkl 1 0 1
2θ 31.47, rel. 98, hkl 1 1 0
2θ 33.61, rel. 100, hkl 1 0 2
2θ 39.25, rel. 28, hkl 2 0 1
2θ 46.71, rel. 55, hkl 2 0 2
2θ 51.15, rel. 15, hkl 2 1 1
2θ 56.03, rel. 19, hkl 3 0 0
2θ 57.41, rel. 47, hkl 2 1 2
2θ 58.16, rel. 8, hkl 0 0 4
2θ 65.69, rel. 15, hkl 2 2 0
2θ 67.64, rel. 22, hkl 1 1 4

# 3
Diffraction record for La3B2RuN6. The X-ray diffraction stick pattern is theoretical, not measured: it uses a structure optimized by DFT (PBE) and Cu Ka.

```
data_La3B2RuN6
_cell_length_a 5.4191
_cell_length_b 5.4191
_cell_length_c 6.3824
_cell_angle_alpha 90.00
_cell_angle_beta 90.00
_cell_angle_gamma 120.00
_space_group_name_H-M_alt 'P -3 m 1'
_space_group_IT_number 164
_space_group_name_Hall '-P 3 2"'
loop_
_atom_site_label
_atom_site_type_symbol
_atom_site_fract_x
_atom_site_fract_y
_atom_site_fract_z
La1 La 0.0000 0.0000 0.0000
La2 La 0.3333 0.6667 0.6736
B1 B 0.3333 0.6667 0.2744
Ru1 Ru 0.0000 0.0000 0.5000
N1 N 0.1780 0.3559 0.2891
```

Peak list (12 most intense, 5° ≤ 2θ ≤ 70°, sorted by position)
2θ 13.88, rel. 16, hkl 0 0 1
2θ 18.91, rel. 17, hkl 1 0 0
2θ 23.53, rel. 68, hkl 1 0 1
2θ 33.06, rel. 100, hkl 1 1 0
2θ 33.97, rel. 98, hkl 0 1 2
2θ 40.98, rel. 35, hkl 0 2 1
2θ 48.13, rel. 48, hkl 2 0 2
2θ 53.63, rel. 17, hkl 2 1 1
2θ 54.87, rel. 16, hkl 1 1 3
2θ 59.05, rel. 19, hkl 3 0 0
2θ 59.64, rel. 37, hkl 1 2 2
2θ 61.37, rel. 16, hkl 1 0 4

# 4
Diffraction record for LaSmBN2. The X-ray diffraction stick pattern is theoretical, not measured: it uses a structure optimized by DFT (PBE) and Cu Ka.

```
data_LaSmBN2
_cell_length_a 3.849
_cell_length_b 4.052
_cell_length_c 5.937
_cell_angle_alpha 90.00
_cell_angle_beta 106.37
_cell_angle_gamma 90.00
_space_group_name_H-M_alt 'P 1 2/m 1'
_space_group_IT_number 10
loop_
_space_group_symop_operation_xyz
'x,y,z'
'-x,-y,-z'
'-x,y,-z'
'x,-y,z'
loop_
_atom_site_label
_atom_site_type_symbol
_atom_site_fract_x
_atom_site_fract_y
_atom_site_fract_z
La1 La 0.000 0.000 0.000
Sm1 Sm 0.000 0.500 0.500
B1 B 0.500 0.000 0.500
N1 N 0.372 0.000 0.696
```

Peak list (12 most intense, 5° ≤ 2θ ≤ 70°, sorted by position)
2θ 24.10, rel. 61, hkl 1 0 0
2θ 27.00, rel. 100, hkl 0 1 1
2θ 31.41, rel. 35, hkl 0 0 2
2θ 33.31, rel. 64, hkl 1 1 -1
2θ 33.90, rel. 36, hkl 1 0 -2
2θ 39.47, rel. 51, hkl 1 1 1
2θ 44.73, rel. 18, hkl 0 2 0
2θ 51.44, rel. 16, hkl 1 2 0
2θ 52.69, rel. 38, hkl 2 1 -1
2θ 53.28, rel. 19, hkl 0 1 3
2θ 55.67, rel. 14, hkl 0 2 2
2θ 57.28, rel. 15, hkl 1 2 -2

# 5
Diffraction record for LaThBN3. The X-ray diffraction stick pattern is theoretical, not measured: it uses a structure optimized by DFT (PBE) and Cu Ka.

```
data_LaThBN3
_cell_length_a 5.5039
_cell_length_b 5.5039
_cell_length_c 7.0729
_cell_angle_alpha 90.00
_cell_angle_beta 90.00
_cell_angle_gamma 120.00
_space_group_name_H-M_alt 'P 63/m m c'
_space_group_IT_number 194
_space_group_name_Hall '-P 6c 2c'
loop_
_atom_site_label
_atom_site_type_symbol
_atom_site_fract_x
_atom_site_fract_y
_atom_site_fract_z
La1 La 0.3333 0.6667 0.2500
Th1 Th 0.0000 0.0000 0.0000
B1 B 0.3333 0.6667 0.7500
N1 N 0.1790 0.3580 0.7500
```

Peak list (12 most intense, 5° ≤ 2θ ≤ 70°, sorted by position)
2θ 18.62, rel. 48, hkl 1 0 0
2θ 22.49, rel. 25, hkl 1 0 1
2θ 31.50, rel. 100, hkl 1 0 2
2θ 32.54, rel. 68, hkl 1 1 0
2θ 39.92, rel. 13, hkl 2 0 1
2θ 45.92, rel. 41, hkl 2 0 2
2θ 50.67, rel. 9, hkl 2 1 0
2θ 51.70, rel. 8, hkl 0 0 4
2θ 57.40, rel. 35, hkl 2 1 2
2θ 58.05, rel. 13, hkl 3 0 0
2θ 62.43, rel. 22, hkl 1 1 4
2θ 68.15, rel. 10, hkl 2 2 0

# 6
Diffraction record for NaLaB12. The X-ray diffraction stick pattern is theoretical, not measured: it uses a structure optimized by DFT (PBE) and Cu Ka.

```
data_NaLaB12
_cell_length_a 8.328
_cell_length_b 8.328
_cell_length_c 8.328
_cell_angle_alpha 90.00
_cell_angle_beta 90.00
_cell_angle_gamma 90.00
_space_group_name_H-M_alt 'F m -3 m'
_space_group_IT_number 225
_space_group_name_Hall '-F 4 2 3'
loop_
_atom_site_label
_atom_site_type_symbol
_atom_site_fract_x
_atom_site_fract_y
_atom_site_fract_z
Na1 Na 0.000 0.000 0.000
La1 La 0.000 0.000 0.500
B1 B 0.101 0.250 0.250
```

Peak list (12 most intense, 5° ≤ 2θ ≤ 70°, sorted by position)
2θ 18.45, rel. 92, hkl 1 1 1
2θ 21.34, rel. 35, hkl 2 0 0
2θ 30.36, rel. 100, hkl 2 2 0
2θ 35.76, rel. 53, hkl 3 1 1
2θ 37.41, rel. 44, hkl 2 2 2
2θ 43.46, rel. 23, hkl 4 0 0
2θ 47.59, rel. 24, hkl 3 3 1
2θ 48.91, rel. 46, hkl 4 2 0
2θ 53.93, rel. 19, hkl 4 2 2
2θ 57.50, rel. 18, hkl 5 1 1
2θ 66.41, rel. 18, hkl 5 3 1
2θ 67.48, rel. 30, hkl 4 4 2